Entry 1:
Calculated PXRD pattern of SiIr2Pt for Cu Kα X-rays, from a structure optimized by DFT (PBE).
Kinematic intensities with the Lorentz-polarization factor, no thermal factor.

Structural model:
a b c (Å): 5.3112 9.4132 2.7516
angles (deg): 90.00 120.80 90.00
Space group C2/m (No. 12)
Asymmetric unit:
Si: 0.0000 0.0000 0.0000 x2
Ir: 0.2500 0.2500 0.0000 x4
Pt: 0.0000 0.5000 0.0000 x2

Principal peaks in the range 5 to 70 degrees two-theta, low angle first:
2θ 21.65, d = 4.105 Å, rel. 42.5; 2θ 38.07, d = 2.364 Å, rel. 70.3; 2θ 38.25, d = 2.353 Å, rel. 74.2; 2θ 43.04, d = 2.102 Å, rel. 100.0; 2θ 44.12, d = 2.053 Å, rel. 93.2; 2θ 55.07, d = 1.668 Å, rel. 48.9

---

Entry 2:
Calculated PXRD pattern of TiNb2Ge4 for Cu Kα X-rays, from a structure optimized by DFT (PBE).
Kinematic intensities with the Lorentz-polarization factor, no thermal factor.

Structural model:
a b c (Å): 4.7968 4.7968 13.0360
angles (deg): 90.00 90.00 90.00
Space group I4/mmm (No. 139)
Asymmetric unit:
Ti: 0.0000 0.0000 0.0000 x2
Nb: 0.0000 0.0000 0.3998 x4
Ge: 0.0000 0.0000 0.1952 x4
Ge: 0.0000 0.5000 0.0000 x4

Principal peaks in the range 5 to 70 degrees two-theta, low angle first:
2θ 13.59, d = 6.518 Å, rel. 43.4; 2θ 26.27, d = 3.392 Å, rel. 51.3; 2θ 37.50, d = 2.398 Å, rel. 100.0; 2θ 38.30, d = 2.350 Å, rel. 34.2; 2θ 39.33, d = 2.291 Å, rel. 89.8; 2θ 55.47, d = 1.657 Å, rel. 63.8

---

Entry 3:
Calculated PXRD pattern of La5PrO6 for Cu Kα X-rays, from a structure optimized by DFT (PBE).
Kinematic intensities with the Lorentz-polarization factor, no thermal factor.

Structural model:
a b c (Å): 6.3030 10.9240 6.3129
angles (deg): 90.00 109.65 90.00
Space group C2/m (No. 12)
Asymmetric unit:
La: 0.0000 0.0000 0.0000 x2
La: 0.0000 0.1661 0.5000 x4
La: 0.0000 0.3334 0.0000 x4
Pr: 0.0000 0.5000 0.5000 x2
O: 0.2495 0.5000 0.2498 x4
O: 0.2503 0.1670 0.2505 x8

Principal peaks in the range 5 to 70 degrees two-theta, low angle first:
2θ 30.06, d = 2.972 Å, rel. 100.0; 2θ 34.85, d = 2.574 Å, rel. 83.5; 2θ 50.10, d = 1.821 Å, rel. 48.2; 2θ 59.50, d = 1.554 Å, rel. 22.9; 2θ 59.61, d = 1.551 Å, rel. 22.8; 2θ 62.46, d = 1.487 Å, rel. 14.5

---

Entry 4:
Calculated PXRD pattern of Rb12CaCl4O4 for Cu Kα X-rays, from a structure optimized by DFT (PBE).
Kinematic intensities with the Lorentz-polarization factor, no thermal factor.

Structural model:
a b c (Å): 8.1314 11.3399 8.6724
angles (deg): 90.00 102.31 90.00
Space group Pm (No. 6)
Asymmetric unit:
Rb: 0.0000 0.0000 0.0000 x1
Rb: 0.0504 0.5000 0.0737 x1
Rb: 0.2400 0.1990 0.3645 x2
Rb: 0.2800 0.2712 0.8935 x2
Rb: 0.4333 0.5000 0.5637 x1
Rb: 0.6599 0.0000 0.4705 x1
Rb: 0.7484 0.2751 0.1725 x2
Rb: 0.7975 0.2773 0.7474 x2
Ca: 0.4217 0.0000 0.7427 x1
Cl: 0.0661 0.0000 0.6350 x1
Cl: 0.0863 0.5000 0.6940 x1
Cl: 0.4674 0.0000 0.0801 x1
Cl: 0.6204 0.5000 0.9263 x1
O: 0.0215 0.2448 0.0595 x2
O: 0.4997 0.1558 0.6423 x2

Principal peaks in the range 5 to 70 degrees two-theta, low angle first:
2θ 26.26, d = 3.394 Å, rel. 44.5; 2θ 26.74, d = 3.333 Å, rel. 75.9; 2θ 27.41, d = 3.253 Å, rel. 100.0; 2θ 30.35, d = 2.945 Å, rel. 38.6; 2θ 31.56, d = 2.835 Å, rel. 51.9; 2θ 35.96, d = 2.498 Å, rel. 58.1

---

Entry 5:
Calculated PXRD pattern of LiAl6Ga8 for Cu Kα X-rays, from a structure optimized by DFT (PBE).
Kinematic intensities with the Lorentz-polarization factor, no thermal factor.

Structural model:
a b c (Å): 7.4027 7.4027 5.9117
angles (deg): 90.00 90.00 120.00
Space group P-3 (No. 147)
Asymmetric unit:
Li: 0.0000 0.0000 0.0000 x1
Al: 0.0740 0.6861 0.1148 x6
Ga: 0.0031 0.3284 0.3953 x6
Ga: 0.3333 0.6667 0.7830 x2

Principal peaks in the range 5 to 70 degrees two-theta, low angle first:
2θ 14.99, d = 5.912 Å, rel. 21.6; 2θ 20.44, d = 4.346 Å, rel. 19.1; 2θ 28.45, d = 3.137 Å, rel. 42.1; 2θ 39.00, d = 2.310 Å, rel. 100.0; 2θ 42.29, d = 2.137 Å, rel. 66.6; 2θ 58.87, d = 1.569 Å, rel. 22.1

---

Entry 6:
Calculated PXRD pattern of KCo8 for Cu Kα X-rays, from a structure optimized by DFT (PBE).
Kinematic intensities with the Lorentz-polarization factor, no thermal factor.

Structural model:
a b c (Å): 7.9381 7.9381 3.7819
angles (deg): 90.00 90.00 90.00
Space group I4/mmm (No. 139)
Asymmetric unit:
K: 0.0000 0.0000 0.0000 x2
Co: 0.0000 0.3551 0.0000 x8
Co: 0.1952 0.1952 0.5000 x8

Principal peaks in the range 5 to 70 degrees two-theta, low angle first:
2θ 15.79, d = 5.613 Å, rel. 17.2; 2θ 41.66, d = 2.168 Å, rel. 100.0; 2θ 48.12, d = 1.891 Å, rel. 19.1; 2θ 48.66, d = 1.871 Å, rel. 25.9; 2θ 53.40, d = 1.716 Å, rel. 10.0; 2θ 68.29, d = 1.373 Å, rel. 8.0

---

Entry 7:
Calculated PXRD pattern of RbP2Au for Cu Kα X-rays, from a structure optimized by DFT (PBE).
Kinematic intensities with the Lorentz-polarization factor, no thermal factor.

Structural model:
a b c (Å): 6.6586 5.4073 13.2836
angles (deg): 90.00 107.66 90.00
Space group P2_1/c (No. 14)
Asymmetric unit:
Rb: 0.2280 0.1663 0.2203 x4
P: 0.0929 0.0818 0.4475 x4
P: 0.3906 0.5991 0.0389 x4
Au: 0.2533 0.0076 0.9839 x4

Principal peaks in the range 5 to 70 degrees two-theta, low angle first:
2θ 13.99, d = 6.329 Å, rel. 100.0; 2θ 17.84, d = 4.973 Å, rel. 90.7; 2θ 28.13, d = 3.173 Å, rel. 53.8; 2θ 28.20, d = 3.164 Å, rel. 51.4; 2θ 35.33, d = 2.541 Å, rel. 56.4; 2θ 36.13, d = 2.486 Å, rel. 47.3

---

Entry 8:
Calculated PXRD pattern of Tm3CuIr8 for Cu Kα X-rays, from a structure optimized by DFT (PBE).
Kinematic intensities with the Lorentz-polarization factor, no thermal factor.

Structural model:
a b c (Å): 5.2911 5.2911 25.8913
angles (deg): 90.00 90.00 120.00
Space group R3m (No. 160, hexagonal axes)
Asymmetric unit:
Tm: 0.0000 0.0000 0.0000 x3
Tm: 0.0000 0.0000 0.1295 x3
Tm: 0.0000 0.0000 0.6157 x3
Cu: 0.0000 0.0000 0.4879 x3
Ir: 0.0000 0.0000 0.3124 x3
Ir: 0.0000 0.0000 0.8129 x3
Ir: 0.9999 0.4999 0.0626 x9
Ir: 0.0002 0.5001 0.5620 x9

Principal peaks in the range 5 to 70 degrees two-theta, low angle first:
2θ 20.57, d = 4.318 Å, rel. 17.7; 2θ 33.90, d = 2.645 Å, rel. 18.6; 2θ 39.98, d = 2.255 Å, rel. 100.0; 2θ 41.84, d = 2.159 Å, rel. 51.3; 2θ 48.69, d = 1.870 Å, rel. 10.4; 2θ 64.76, d = 1.440 Å, rel. 31.3

---

Entry 9:
Calculated PXRD pattern of ZrSi2O6 for Cu Kα X-rays, from a structure optimized by DFT (PBE).
Kinematic intensities with the Lorentz-polarization factor, no thermal factor.

Structural model:
a b c (Å): 10.0475 9.3172 5.4305
angles (deg): 90.00 109.17 90.00
Space group C2/c (No. 15)
Asymmetric unit:
Zr: 0.0000 0.1187 0.2500 x4
Si: 0.2023 0.4213 0.2457 x8
O: 0.1225 0.0639 0.6404 x8
O: 0.1442 0.2572 0.2149 x8
O: 0.1456 0.4985 0.9608 x8

Principal peaks in the range 5 to 70 degrees two-theta, low angle first:
2θ 13.32, d = 6.649 Å, rel. 75.9; 2θ 19.27, d = 4.606 Å, rel. 83.2; 2θ 24.23, d = 3.673 Å, rel. 49.1; 2θ 28.44, d = 3.139 Å, rel. 100.0; 2θ 29.83, d = 2.996 Å, rel. 55.8; 2θ 35.39, d = 2.536 Å, rel. 32.1

---

Entry 10:
Calculated PXRD pattern of CaTeO4 for Cu Kα X-rays, from a structure optimized by DFT (PBE).
Kinematic intensities with the Lorentz-polarization factor, no thermal factor.

Structural model:
a b c (Å): 5.9244 5.0089 5.6571
angles (deg): 90.00 106.70 90.00
Space group P2_1/c (No. 14)
Asymmetric unit:
Ca: 0.0000 0.0000 0.0000 x2
Te: 0.5000 0.0000 0.5000 x2
O: 0.1967 0.1460 0.3980 x4
O: 0.3717 0.7408 0.7045 x4

Principal peaks in the range 5 to 70 degrees two-theta, low angle first:
2θ 15.62, d = 5.675 Å, rel. 48.2; 2θ 24.20, d = 3.678 Å, rel. 37.9; 2θ 26.18, d = 3.404 Å, rel. 100.0; 2θ 31.48, d = 2.842 Å, rel. 63.5; 2θ 33.06, d = 2.709 Å, rel. 19.3; 2θ 49.57, d = 1.839 Å, rel. 19.6

---

Entry 11:
Calculated PXRD pattern of RbPmPbBr6 for Cu Kα X-rays, from a structure optimized by DFT (PBE).
Kinematic intensities with the Lorentz-polarization factor, no thermal factor.

Structural model:
a b c (Å): 7.7673 7.7673 14.8925
angles (deg): 90.00 90.00 120.00
Space group P-31c (No. 163)
Asymmetric unit:
Rb: 0.0000 0.0000 0.0000 x2
Pm: 0.3333 0.6667 0.2500 x2
Pb: 0.3333 0.6667 0.7500 x2
Br: 0.0159 0.3792 0.1372 x12

Principal peaks in the range 5 to 70 degrees two-theta, low angle first:
2θ 11.89, d = 7.446 Å, rel. 47.9; 2θ 17.77, d = 4.992 Å, rel. 77.2; 2θ 25.87, d = 3.443 Å, rel. 89.9; 2θ 33.34, d = 2.688 Å, rel. 100.0; 2θ 37.38, d = 2.406 Å, rel. 29.7; 2θ 40.22, d = 2.242 Å, rel. 46.8

---

Entry 12:
Calculated PXRD pattern of Ac4InCo2 for Cu Kα X-rays, from a structure optimized by DFT (PBE).
Kinematic intensities with the Lorentz-polarization factor, no thermal factor.

Structural model:
a b c (Å): 10.5177 10.5177 4.4312
angles (deg): 90.00 90.00 90.00
Space group I4/m (No. 87)
Asymmetric unit:
Ac: 0.0738 0.2630 0.0000 x8
In: 0.0000 0.0000 0.5000 x2
Co: 0.0000 0.5000 0.2500 x4

Principal peaks in the range 5 to 70 degrees two-theta, low angle first:
2θ 26.80, d = 3.326 Å, rel. 50.0; 2θ 27.66, d = 3.225 Å, rel. 100.0; 2θ 38.27, d = 2.352 Å, rel. 20.6; 2θ 40.79, d = 2.212 Å, rel. 25.1; 2θ 47.85, d = 1.901 Å, rel. 33.6; 2θ 49.43, d = 1.844 Å, rel. 24.4